Starting from DFT lattice parameters and positions (GGA-PBE), the powder diffractogram of PuPa2N6 was computed for Cu Kα (λ = 1.5418 Å).
No peak broadening, texture or thermal motion is included.

Structural model:
abc: 5.8239 5.8239 3.7835
angles: 90.00 90.00 120.00
Sites, in units of the cell vectors:
Pu (0.0000, 0.0000, 0.0000)
Pa (0.3333, 0.6667, 0.2547)
Pa (0.6667, 0.3333, 0.7453)
N (0.0724, 0.7137, 0.7657)
N (0.2863, 0.3587, 0.7657)
N (0.3587, 0.0724, 0.2343)
N (0.6413, 0.9276, 0.7657)
N (0.7137, 0.6413, 0.2343)
N (0.9276, 0.2863, 0.2343)

Peak list (6 most intense, 15 to 90 degrees two-theta, in order of rising 2θ)
29.51°, rel. 100, (0 1 1)
30.70°, rel. 97, (1 1 0)
43.11°, rel. 44, (2 0 1)
51.60°, rel. 24, (1 0 2)
53.85°, rel. 42, (3 -2 1)
54.59°, rel. 25, (3 0 0)